FeTcGe4: theoretical X-ray powder pattern (Cu Kα (λ = 1.5418 Å)), based on the PBE geometry in Alexandria.
No peak broadening, texture or thermal motion is included.

Top 6 peaks for 2θ from 10° to 90°, in order of falling intensity:
2θ = 19.9°, I = 100.0; 2θ = 34.4°, I = 77.6; 2θ = 43.8°, I = 71.1; 2θ = 36.1°, I = 66.9; 2θ = 40.5°, I = 52.4; 2θ = 45.3°, I = 42.5

Cell: 5.489 5.865 6.866 Å, 90.00 90.00 90.00°
Space group Pnc2 (No. 30)
Inequivalent atoms, fractional coordinates:
Fe 0.000 0.000 0.000
Tc 0.500 0.000 0.826
Ge 0.153 0.238 0.727
Ge 0.327 0.730 0.595